Diffraction record for SnCl2O2. The XRD peak list is computed, not measured: it uses the GGA-PBE geometry in the Materials Project and Cu Ka.

```
data_SnCl2O2
_space_group_name_H-M_alt 'P 1'
_space_group_IT_number 1
_cell_length_a 9.0358
_cell_length_b 7.5213
_cell_length_c 9.1296
_cell_angle_alpha 90.00
_cell_angle_beta 111.70
_cell_angle_gamma 90.00
loop_
_space_group_symop_operation_xyz
'x,y,z'
loop_
_atom_site_label
_atom_site_type_symbol
_atom_site_fract_x
_atom_site_fract_y
_atom_site_fract_z
_atom_site_occupancy
Sn1 Sn 0.0837 0.2106 0.4062 1
Sn2 Sn 0.0837 0.2894 0.9062 1
Sn3 Sn 0.9163 0.7106 0.0938 1
Sn4 Sn 0.9163 0.7894 0.5938 1
Cl1 Cl 0.1601 0.0033 0.2159 1
Cl2 Cl 0.1601 0.4967 0.7159 1
Cl3 Cl 0.1808 0.5250 0.1623 1
Cl4 Cl 0.1808 0.9750 0.6623 1
Cl5 Cl 0.8192 0.0250 0.3377 1
Cl6 Cl 0.8192 0.4750 0.8377 1
Cl7 Cl 0.8399 0.5033 0.2841 1
Cl8 Cl 0.8399 0.9967 0.7841 1
O1 O 0.4480 0.1889 0.0296 1
O2 O 0.4480 0.3111 0.5296 1
O3 O 0.4780 0.7294 0.5550 1
O4 O 0.4780 0.7706 0.0550 1
O5 O 0.5220 0.2294 0.9450 1
O6 O 0.5220 0.2706 0.4450 1
O7 O 0.5520 0.6889 0.4704 1
O8 O 0.5520 0.8111 0.9704 1
```

Peak list (8 most intense, 2θ from 15° to 90°, in order of rising 2θ)
| 2theta | I/Imax |
| --- | --- |
| 15.8 | 69 |
| 23.0 | 100 |
| 24.1 | 91 |
| 24.3 | 54 |
| 26.5 | 54 |
| 31.8 | 41 |
| 32.0 | 61 |
| 34.2 | 42 |